Record 1
For Er7C2I12N, a cell relaxed with PBE gives the calculated powder X-ray diffraction pattern in this record (CuKα).
Intensities are scaled so that the largest is 100.

a b c (Å): 9.8647 10.9133 16.9105
angles (deg): 101.79 92.76 112.79
Space group P-1 (No. 2)
Symmetry-distinct sites (fractional):
Er 0.0178 0.4376 0.1790 [2 per cell]
Er 0.0508 0.2631 0.6915 [2 per cell]
Er 0.1413 0.4574 0.9811 [2 per cell]
Er 0.1598 0.5452 0.3843 [2 per cell]
Er 0.2138 0.7467 0.1498 [2 per cell]
Er 0.3598 0.8668 0.3526 [2 per cell]
Er 0.4317 0.5684 0.2360 [2 per cell]
C 0.1314 0.6730 0.2827 [2 per cell]
C 0.2516 0.6330 0.2647 [2 per cell]
I 0.0460 0.1606 0.8508 [2 per cell]
I 0.0621 0.7364 0.6978 [2 per cell]
I 0.1073 0.4009 0.5498 [2 per cell]
I 0.1561 0.0085 0.4070 [2 per cell]
I 0.2032 0.8028 0.9702 [2 per cell]
I 0.2255 0.3022 0.1095 [2 per cell]
I 0.2908 0.5291 0.8123 [2 per cell]
I 0.3303 0.1640 0.6657 [2 per cell]
I 0.3730 0.7973 0.5149 [2 per cell]
I 0.3990 0.4313 0.3722 [2 per cell]
I 0.4458 0.0357 0.2312 [2 per cell]
I 0.4675 0.6734 0.0767 [2 per cell]
N 0.0574 0.5466 0.0842 [2 per cell]

Largest 6 diffraction maxima, by angle, 2θ from 5° to 70°:
- hkl 0 1 0, 9.761 Å, 2θ 9.1, I 73
- hkl 0 1 -1, 9.453 Å, 2θ 9.4, I 85
- hkl -3 2 1, 3.138 Å, 2θ 28.4, I 100
- hkl 1 2 2, 3.106 Å, 2θ 28.7, I 87
- hkl 0 2 -5, 3.089 Å, 2θ 28.9, I 86
- hkl 1 0 7, 2.190 Å, 2θ 41.2, I 74

Record 2
For Er4InC, a cell relaxed with PBE gives the calculated powder X-ray diffraction pattern in this record (CuKα).
Intensities are scaled so that the largest is 100.

a b c (Å): 6.0329 6.7566 8.1276
angles (deg): 105.04 111.76 90.04
Space group P-1 (No. 2)
Symmetry-distinct sites (fractional):
Er 0.0114 0.4465 0.2022 [2 per cell]
Er 0.1913 0.9464 0.2020 [2 per cell]
Er 0.2371 0.8393 0.6155 [2 per cell]
Er 0.3779 0.3392 0.6150 [2 per cell]
In 0.4055 0.2506 0.0000 [2 per cell]
C 0.0000 0.5000 0.5000 [1 per cell]
C 0.5000 0.0000 0.5000 [1 per cell]

Largest 6 diffraction maxima, by angle, 2θ from 5° to 70°:
- hkl -1 1 2, 2.989 Å, 2θ 29.9, I 41
- hkl 0 2 -2, 2.844 Å, 2θ 31.5, I 73
- hkl 1 2 0, 2.680 Å, 2θ 33.4, I 100
- hkl 2 1 -2, 2.665 Å, 2θ 33.6, I 95
- hkl 1 0 2, 2.613 Å, 2θ 34.3, I 91
- hkl 3 1 0, 1.736 Å, 2θ 52.7, I 36

Record 3
For Er4InPbC, a cell relaxed with PBE gives the calculated powder X-ray diffraction pattern in this record (CuKα).
Intensities are scaled so that the largest is 100.

a b c (Å): 6.7920 15.7311 6.7858
angles (deg): 90.00 90.00 90.00
Space group Cmcm (No. 63)
Symmetry-distinct sites (fractional):
Er 0.0000 0.0904 0.2500 [4 per cell]
Er 0.0000 0.4082 0.2500 [4 per cell]
Er 0.2500 0.2500 0.0000 [8 per cell]
In 0.0000 0.1123 0.7500 [4 per cell]
Pb 0.0000 0.3906 0.7500 [4 per cell]
C 0.0000 0.2492 0.2500 [4 per cell]

Largest 6 diffraction maxima, by angle, 2θ from 5° to 70°:
- hkl 2 2 0, 3.117 Å, 2θ 28.6, I 63
- hkl 0 6 0, 2.622 Å, 2θ 34.2, I 26
- hkl 2 4 0, 2.570 Å, 2θ 34.9, I 100
- hkl 2 0 2, 2.400 Å, 2θ 37.5, I 58
- hkl 2 6 2, 1.770 Å, 2θ 51.6, I 32
- hkl 4 4 2, 1.416 Å, 2θ 66.0, I 32

Record 4
For PrEr2InC, a cell relaxed with PBE gives the calculated powder X-ray diffraction pattern in this record (CuKα).
Intensities are scaled so that the largest is 100.

a b c (Å): 4.8933 4.8933 5.1683
angles (deg): 90.00 90.00 90.00
Space group P4/mmm (No. 123)
Symmetry-distinct sites (fractional):
Pr 0.0000 0.0000 0.0000 [1 per cell]
Er 0.0000 0.5000 0.5000 [2 per cell]
In 0.5000 0.5000 0.0000 [1 per cell]
C 0.0000 0.0000 0.5000 [1 per cell]

Largest 6 diffraction maxima, by angle, 2θ from 5° to 70°:
- hkl 1 1 1, 2.875 Å, 2θ 31.1, I 100
- hkl 0 0 2, 2.584 Å, 2θ 34.7, I 20
- hkl 2 0 0, 2.447 Å, 2θ 36.7, I 34
- hkl 2 0 2, 1.777 Å, 2θ 51.4, I 26
- hkl 1 1 3, 1.542 Å, 2θ 60.0, I 15
- hkl 3 1 1, 1.482 Å, 2θ 62.7, I 27

Record 5
For La2Er2Sb2C, a cell relaxed with PBE gives the calculated powder X-ray diffraction pattern in this record (CuKα).
Intensities are scaled so that the largest is 100.

a b c (Å): 4.7970 4.7970 16.5798
angles (deg): 90.00 90.00 90.00
Space group I4/mmm (No. 139)
Symmetry-distinct sites (fractional):
La 0.0000 0.0000 0.1630 [4 per cell]
Er 0.0000 0.5000 0.0000 [4 per cell]
Sb 0.0000 0.0000 0.3668 [4 per cell]
C 0.0000 0.0000 0.0000 [2 per cell]

Largest 6 diffraction maxima, by angle, 2θ from 5° to 70°:
- hkl 0 0 2, 8.290 Å, 2θ 10.7, I 28
- hkl 1 1 2, 3.139 Å, 2θ 28.4, I 70
- hkl 1 1 4, 2.625 Å, 2θ 34.2, I 100
- hkl 2 0 0, 2.399 Å, 2θ 37.5, I 56
- hkl 2 0 6, 1.811 Å, 2θ 50.4, I 30
- hkl 3 1 4, 1.425 Å, 2θ 65.5, I 30

Record 6
For ErMnC, a cell relaxed with PBE gives the calculated powder X-ray diffraction pattern in this record (CuKα).
Intensities are scaled so that the largest is 100.

a b c (Å): 3.2080 3.2080 4.9344
angles (deg): 90.00 90.00 120.00
Space group P3m1 (No. 156)
Symmetry-distinct sites (fractional):
Er 0.0000 0.0000 0.0000 [1 per cell]
Mn 0.3333 0.6667 0.4752 [1 per cell]
C 0.6667 0.3333 0.3251 [1 per cell]

Largest 6 diffraction maxima, by angle, 2θ from 5° to 70°:
- hkl 0 0 1, 4.934 Å, 2θ 18.0, I 27
- hkl 1 0 0, 2.778 Å, 2θ 32.2, I 34
- hkl 0 0 2, 2.467 Å, 2θ 36.4, I 20
- hkl 1 0 1, 2.421 Å, 2θ 37.1, I 100
- hkl 1 0 2, 1.845 Å, 2θ 49.4, I 25
- hkl 1 1 0, 1.604 Å, 2θ 57.5, I 18

Record 7
For Er3MnC3, a cell relaxed with PBE gives the calculated powder X-ray diffraction pattern in this record (CuKα).
Intensities are scaled so that the largest is 100.

a b c (Å): 8.3951 10.2141 5.0353
angles (deg): 90.00 90.00 90.00
Space group Cmcm (No. 63)
Symmetry-distinct sites (fractional):
Er 0.0000 0.1080 0.2500 [4 per cell]
Er 0.2113 0.3799 0.2500 [8 per cell]
Mn 0.0000 0.3037 0.7500 [4 per cell]
C 0.0000 0.1247 0.7500 [4 per cell]
C 0.1980 0.3735 0.7500 [8 per cell]

Largest 6 diffraction maxima, by angle, 2θ from 5° to 70°:
- hkl 2 2 1, 2.726 Å, 2θ 32.9, I 100
- hkl 3 1 0, 2.699 Å, 2θ 33.2, I 19
- hkl 1 3 1, 2.674 Å, 2θ 33.5, I 23
- hkl 0 4 0, 2.554 Å, 2θ 35.1, I 24
- hkl 0 0 2, 2.518 Å, 2θ 35.7, I 32
- hkl 0 4 2, 1.793 Å, 2θ 50.9, I 17

Record 8
For ErMn2C2, a cell relaxed with PBE gives the calculated powder X-ray diffraction pattern in this record (CuKα).
Intensities are scaled so that the largest is 100.

a b c (Å): 6.2119 8.3083 8.8529
angles (deg): 90.00 90.00 90.00
Space group Fddd (No. 70, origin choice 2)
Symmetry-distinct sites (fractional):
Er 0.1250 0.1250 0.1250 [8 per cell]
Mn 0.1250 0.1250 0.4887 [16 per cell]
C 0.1250 0.3183 0.6250 [16 per cell]

Largest 6 diffraction maxima, by angle, 2θ from 5° to 70°:
- hkl 1 1 1, 4.337 Å, 2θ 20.5, I 27
- hkl 0 2 2, 3.029 Å, 2θ 29.5, I 30
- hkl 1 1 3, 2.539 Å, 2θ 35.3, I 100
- hkl 2 2 0, 2.488 Å, 2θ 36.1, I 70
- hkl 0 4 0, 2.077 Å, 2θ 43.6, I 23
- hkl 1 3 3, 1.920 Å, 2θ 47.3, I 35

What did the first record say?
For Er7C2I12N, a cell relaxed with PBE gives the calculated powder X-ray diffraction pattern in this record (CuKα).
Intensities are scaled so that the largest is 100.

a b c (Å): 9.8647 10.9133 16.9105
angles (deg): 101.79 92.76 112.79
Space group P-1 (No. 2)
Symmetry-distinct sites (fractional):
Er 0.0178 0.4376 0.1790 [2 per cell]
Er 0.0508 0.2631 0.6915 [2 per cell]
Er 0.1413 0.4574 0.9811 [2 per cell]
Er 0.1598 0.5452 0.3843 [2 per cell]
Er 0.2138 0.7467 0.1498 [2 per cell]
Er 0.3598 0.8668 0.3526 [2 per cell]
Er 0.4317 0.5684 0.2360 [2 per cell]
C 0.1314 0.6730 0.2827 [2 per cell]
C 0.2516 0.6330 0.2647 [2 per cell]
I 0.0460 0.1606 0.8508 [2 per cell]
I 0.0621 0.7364 0.6978 [2 per cell]
I 0.1073 0.4009 0.5498 [2 per cell]
I 0.1561 0.0085 0.4070 [2 per cell]
I 0.2032 0.8028 0.9702 [2 per cell]
I 0.2255 0.3022 0.1095 [2 per cell]
I 0.2908 0.5291 0.8123 [2 per cell]
I 0.3303 0.1640 0.6657 [2 per cell]
I 0.3730 0.7973 0.5149 [2 per cell]
I 0.3990 0.4313 0.3722 [2 per cell]
I 0.4458 0.0357 0.2312 [2 per cell]
I 0.4675 0.6734 0.0767 [2 per cell]
N 0.0574 0.5466 0.0842 [2 per cell]

Largest 6 diffraction maxima, by angle, 2θ from 5° to 70°:
- hkl 0 1 0, 9.761 Å, 2θ 9.1, I 73
- hkl 0 1 -1, 9.453 Å, 2θ 9.4, I 85
- hkl -3 2 1, 3.138 Å, 2θ 28.4, I 100
- hkl 1 2 2, 3.106 Å, 2θ 28.7, I 87
- hkl 0 2 -5, 3.089 Å, 2θ 28.9, I 86
- hkl 1 0 7, 2.190 Å, 2θ 41.2, I 74